Diffraction record for Li7Mn5O12. The powder X-ray diffraction pattern is simulated, not measured: it uses a crystal structure in Alexandria, relaxed with GGA+U and λ = 1.5418 Å (Cu Kα).

Peak list (10 most intense, 2θ from 10° to 80°, in order of falling intensity)
| Position (°2θ) | Rel. int. |
| --- | --- |
| 18.28 | 100 |
| 44.11 | 59 |
| 41.15 | 27 |
| 36.21 | 25 |
| 61.70 | 15 |
| 34.15 | 15 |
| 35.94 | 13 |
| 18.42 | 11 |
| 62.10 | 10 |
| 58.11 | 8 |

Structural model:
```
data_Li7Mn5O12
_chemical_formula_sum 'Li14 Mn10 O24'
_space_group_name_H-M_alt 'C 1 2/m 1'
_space_group_IT_number 12
_cell_length_a 9.791
_cell_length_b 2.878
_cell_length_c 15.888
_cell_angle_alpha 90.00
_cell_angle_beta 97.45
_cell_angle_gamma 90.00
loop_
_space_group_symop_operation_xyz
'x,y,z'
'-x,-y,-z'
'-x,y,-z'
'x,-y,z'
'x+1/2,y+1/2,z'
'-x+1/2,-y+1/2,-z'
'-x+1/2,y+1/2,-z'
'x+1/2,-y+1/2,z'
loop_
_atom_site_label
_atom_site_type_symbol
_atom_site_fract_x
_atom_site_fract_y
_atom_site_fract_z
Li1 Li 0.000 0.000 0.000
Li2 Li 0.226 0.000 0.235
Li3 Li 0.239 0.500 0.071
Li4 Li 0.246 0.500 0.417
Mn1 Mn 0.000 0.500 0.500
Mn2 Mn 0.019 0.000 0.676
Mn3 Mn 0.025 0.500 0.848
O1 O 0.089 0.500 0.280
O2 O 0.094 0.000 0.126
O3 O 0.113 0.000 0.460
O4 O 0.126 0.500 0.952
O5 O 0.128 0.500 0.633
O6 O 0.134 0.000 0.804
```